[1]
Theoretical powder X-ray diffraction pattern of Co2P5O15 for Cu Kα (weighted mean of Kα1 and Kα2), from a GGA+U-relaxed structure.

Crystal structure
```
data_Co2P5O15
_space_group_name_H-M_alt 'P 1 c 1'
_space_group_IT_number 7
_cell_length_a 5.297
_cell_length_b 8.487
_cell_length_c 13.514
_cell_angle_alpha 90.00
_cell_angle_beta 108.42
_cell_angle_gamma 90.00
loop_
_space_group_symop_operation_xyz
'x,y,z'
'x,-y,z+1/2'
loop_
_atom_site_label
_atom_site_fract_x
_atom_site_fract_y
_atom_site_fract_z
Co1 0.000 0.212 0.000
Co2 0.195 0.220 0.427
P1 0.099 0.430 0.215
P2 0.415 0.325 0.865
P3 0.558 0.004 0.820
P4 0.622 0.006 0.606
P5 0.782 0.324 0.565
O1 0.009 0.348 0.297
O2 0.185 0.342 0.135
O3 0.205 0.310 0.917
O4 0.339 0.450 0.772
O5 0.347 0.029 0.529
O6 0.375 0.116 0.342
O7 0.404 0.168 0.794
O8 0.504 0.356 0.495
O9 0.582 0.049 0.212
O10 0.697 0.355 0.930
O11 0.777 0.171 0.636
O12 0.805 0.113 0.085
O13 0.836 0.023 0.895
O14 0.856 0.452 0.656
O15 0.995 0.303 0.514
```

The 10 most intense peaks (2θ from 5° to 70°), low angle first:
- 13.81 deg, rel. 51.8, (0 0 2)
- 19.80 deg, rel. 46.5, (1 1 -1)
- 20.54 deg, rel. 54.5, (1 1 0)
- 21.44 deg, rel. 59.0, (1 1 -2)
- 25.00 deg, rel. 100.0, (1 1 -3)
- 25.17 deg, rel. 96.1, (0 2 2)
- 25.75 deg, rel. 69.5, (1 0 2)
- 27.51 deg, rel. 58.2, (1 2 0)
- 27.87 deg, rel. 44.1, (1 0 -4)
- 29.79 deg, rel. 67.3, (1 2 1)


[2]
Theoretical powder X-ray diffraction pattern of Co3P4O16 for Cu Kα (weighted mean of Kα1 and Kα2), from a GGA+U-relaxed structure.

Crystal structure
```
data_Co3P4O16
_space_group_name_H-M_alt 'P 1 21/c 1'
_space_group_IT_number 14
_cell_length_a 8.427
_cell_length_b 5.089
_cell_length_c 15.544
_cell_angle_alpha 90.00
_cell_angle_beta 113.15
_cell_angle_gamma 90.00
loop_
_space_group_symop_operation_xyz
'x,y,z'
'-x,-y,-z'
'-x,y+1/2,-z+1/2'
'x,-y+1/2,z+1/2'
loop_
_atom_site_label
_atom_site_fract_x
_atom_site_fract_y
_atom_site_fract_z
Co1 0.000 0.000 0.000
Co2 0.314 0.088 0.300
P1 0.026 0.510 0.146
P2 0.420 0.049 0.116
O1 0.008 0.168 0.562
O2 0.047 0.704 0.622
O3 0.142 0.524 0.836
O4 0.182 0.090 0.731
O5 0.248 0.037 0.030
O6 0.391 0.009 0.208
O7 0.466 0.179 0.894
O8 0.482 0.697 0.884
```

The 10 most intense peaks (2θ from 5° to 70°), low angle first:
- 13.14 deg, rel. 32.1, (1 0 -2)
- 20.46 deg, rel. 35.3, (1 1 -1)
- 21.37 deg, rel. 51.6, (2 0 -2)
- 22.95 deg, rel. 86.9, (1 0 -4)
- 23.07 deg, rel. 82.5, (1 1 1)
- 24.88 deg, rel. 56.4, (1 1 -3)
- 25.61 deg, rel. 100.0, (0 1 3)
- 26.46 deg, rel. 53.6, (2 0 -4)
- 31.06 deg, rel. 34.0, (1 1 3)
- 31.55 deg, rel. 44.5, (2 1 1)


[3]
Theoretical powder X-ray diffraction pattern of CoP2O6 for Cu Kα (weighted mean of Kα1 and Kα2), from a GGA+U-relaxed structure.

Crystal structure
```
data_CoP2O6
_space_group_name_H-M_alt 'C 1 2/c 1'
_space_group_IT_number 15
_cell_length_a 11.931
_cell_length_b 8.374
_cell_length_c 10.098
_cell_angle_alpha 90.00
_cell_angle_beta 118.55
_cell_angle_gamma 90.00
loop_
_space_group_symop_operation_xyz
'x,y,z'
'-x,-y,-z'
'-x,y,-z+1/2'
'x,-y,z+1/2'
'x+1/2,y+1/2,z'
'-x+1/2,-y+1/2,-z'
'-x+1/2,y+1/2,-z+1/2'
'x+1/2,-y+1/2,z+1/2'
loop_
_atom_site_label
_atom_site_fract_x
_atom_site_fract_y
_atom_site_fract_z
Co1 0.000 0.049 0.250
Co2 0.250 0.250 0.500
P1 0.009 0.262 0.977
P2 0.194 0.492 0.196
O1 0.036 0.122 0.908
O2 0.049 0.238 0.419
O3 0.078 0.387 0.653
O4 0.140 0.359 0.064
O5 0.203 0.079 0.324
O6 0.229 0.422 0.345
```

The 10 most intense peaks (2θ from 5° to 70°), low angle first:
- 14.22 deg, rel. 48.3, (1 1 -1)
- 20.57 deg, rel. 39.1, (1 1 -2)
- 24.88 deg, rel. 20.0, (3 1 -1)
- 26.04 deg, rel. 31.7, (3 1 -2)
- 27.67 deg, rel. 30.8, (3 1 0)
- 29.33 deg, rel. 100.0, (0 2 2)
- 30.72 deg, rel. 22.9, (3 1 -3)
- 34.22 deg, rel. 24.1, (4 0 0)
- 37.22 deg, rel. 27.1, (4 2 -2)
- 42.50 deg, rel. 21.2, (1 3 -3)